Entry 1:
This entry pairs a crystal structure of Pm2MnF11 with its calculated X-ray diffraction stick pattern. Radiation: a wavelength of 1.5418 Å. Structure: DFT lattice parameters and positions (PBE+U).

The 8 most intense peaks (2θ = 10–80°), low angle first:
2θ (°)	I/Imax
16.89	46
21.63	48
23.88	100
24.35	80
34.12	40
44.89	26
45.29	31
49.09	34

Atomic structure:
Cell lengths 8.4996, 8.4996, 8.4996 Å; angles 118.73, 106.40, 103.71 degrees
Sites, in units of the cell vectors:
Pm 0.1947 0.1051 0.2998
Pm 0.3053 0.6051 0.9105
Pm 0.6947 0.3949 0.0895
Pm 0.8053 0.8949 0.7002
Mn 0.2500 0.7500 0.5000
Mn 0.7500 0.2500 0.5000
F 0.0000 0.0000 0.0000
F 0.0009 0.5878 0.3267
F 0.1057 0.9656 0.6924
F 0.2225 0.8419 0.0644
F 0.2268 0.5344 0.1401
F 0.2389 0.9122 0.4131
F 0.2611 0.6742 0.6733
F 0.2732 0.4133 0.3076
F 0.2775 0.3419 0.6193
F 0.3943 0.0867 0.8599
F 0.4991 0.8258 0.5869
F 0.5000 0.5000 0.0000
F 0.5009 0.1742 0.4131
F 0.6057 0.9133 0.1401
F 0.7225 0.6581 0.3807
F 0.7268 0.5867 0.6924
F 0.7389 0.3258 0.3267
F 0.7611 0.0878 0.5869
F 0.7732 0.4656 0.8599
F 0.7775 0.1581 0.9356
F 0.8943 0.0344 0.3076
F 0.9991 0.4122 0.6733

Entry 2:
This entry pairs a crystal structure of RbMn3F9 with its calculated X-ray diffraction stick pattern. Radiation: a wavelength of 1.5418 Å. Structure: DFT lattice parameters and positions (PBE+U).

The 8 most intense peaks (2θ = 10–80°), low angle first:
2θ (°)	I/Imax
26.21	54
26.84	100
32.51	35
45.86	19
47.02	18
47.40	37
53.93	26
68.08	21

Atomic structure:
Cell lengths 7.6719, 7.6719, 3.9576 Å; angles 90.00, 90.00, 120.00 degrees
Sites, in units of the cell vectors:
Rb 0.0000 0.0000 0.0000
Mn 0.0000 0.5000 0.5000
Mn 0.5000 0.0000 0.5000
Mn 0.5000 0.5000 0.5000
F 0.0000 0.5000 0.0000
F 0.2038 0.4075 0.5000
F 0.2038 0.7962 0.5000
F 0.4075 0.2038 0.5000
F 0.5000 0.0000 0.0000
F 0.5000 0.5000 0.0000
F 0.5925 0.7962 0.5000
F 0.7962 0.2038 0.5000
F 0.7962 0.5925 0.5000

Entry 3:
This entry pairs a crystal structure of Rb2MnF6 with its calculated X-ray diffraction stick pattern. Radiation: a wavelength of 1.5418 Å. Structure: DFT lattice parameters and positions (PBE+U).

The 8 most intense peaks (2θ = 10–80°), low angle first:
2θ (°)	I/Imax
17.68	43
20.44	15
29.07	100
35.80	48
41.58	51
51.53	34
60.26	28
68.27	21

Atomic structure:
Cell lengths 6.1437, 6.1437, 6.1437 Å; angles 60.00, 60.00, 60.00 degrees
Sites, in units of the cell vectors:
Rb 0.2500 0.2500 0.2500
Rb 0.7500 0.7500 0.7500
Mn 0.0000 0.0000 0.0000
F 0.2130 0.2130 0.7870
F 0.2130 0.7870 0.2130
F 0.2130 0.7870 0.7870
F 0.7870 0.2130 0.2130
F 0.7870 0.2130 0.7870
F 0.7870 0.7870 0.2130

Entry 4:
This entry pairs a crystal structure of Rb5Mn2F12 with its calculated X-ray diffraction stick pattern. Radiation: a wavelength of 1.5418 Å. Structure: DFT lattice parameters and positions (PBE+U).

The 8 most intense peaks (2θ = 10–80°), low angle first:
2θ (°)	I/Imax
12.98	34
16.38	100
24.53	31
25.81	91
26.00	29
29.64	28
31.60	56
39.80	29

Atomic structure:
Cell lengths 8.0654, 8.0654, 7.4618 Å; angles 107.53, 107.53, 84.31 degrees
Sites, in units of the cell vectors:
Rb 0.0000 0.0000 0.0000
Rb 0.3221 0.3221 0.8646
Rb 0.3376 0.3376 0.4119
Rb 0.6624 0.6624 0.5881
Rb 0.6779 0.6779 0.1354
Mn 0.1495 0.8505 0.5000
Mn 0.8505 0.1495 0.5000
F 0.0499 0.7649 0.2303
F 0.0953 0.0953 0.4672
F 0.1409 0.6317 0.5315
F 0.2351 0.9501 0.7697
F 0.3683 0.8591 0.4685
F 0.4824 0.4824 0.2266
F 0.5176 0.5176 0.7734
F 0.6317 0.1409 0.5315
F 0.7649 0.0499 0.2303
F 0.8591 0.3683 0.4685
F 0.9047 0.9047 0.5328
F 0.9501 0.2351 0.7697

Entry 5:
This entry pairs a crystal structure of Rb3Mn4F12 with its calculated X-ray diffraction stick pattern. Radiation: a wavelength of 1.5418 Å. Structure: DFT lattice parameters and positions (PBE+U).

The 8 most intense peaks (2θ = 10–80°), low angle first:
2θ (°)	I/Imax
14.86	28
25.88	12
29.97	100
36.92	17
42.90	56
53.21	39
62.28	32
70.64	17

Atomic structure:
Cell lengths 7.3034, 7.3034, 7.3034 Å; angles 109.47, 109.47, 109.47 degrees
Sites, in units of the cell vectors:
Rb 0.0000 0.5000 0.5000
Rb 0.5000 0.0000 0.5000
Rb 0.5000 0.5000 0.0000
Mn 0.0000 0.0000 0.5000
Mn 0.0000 0.5000 0.0000
Mn 0.5000 0.0000 0.0000
Mn 0.5000 0.5000 0.5000
F 0.0000 0.2551 0.7449
F 0.0000 0.7449 0.2551
F 0.2551 0.0000 0.7449
F 0.2551 0.2551 0.5102
F 0.2551 0.5102 0.2551
F 0.2551 0.7449 0.0000
F 0.4898 0.7449 0.7449
F 0.5102 0.2551 0.2551
F 0.7449 0.0000 0.2551
F 0.7449 0.2551 0.0000
F 0.7449 0.4898 0.7449
F 0.7449 0.7449 0.4898

Entry 6:
This entry pairs a crystal structure of Rb2MnF5 with its calculated X-ray diffraction stick pattern. Radiation: a wavelength of 1.5418 Å. Structure: DFT lattice parameters and positions (PBE+U).

The 8 most intense peaks (2θ = 10–80°), low angle first:
2θ (°)	I/Imax
14.33	58
20.32	23
28.90	36
29.45	100
36.05	56
41.33	42
51.56	36
61.12	24

Atomic structure:
Cell lengths 6.1793, 6.1793, 4.2124 Å; angles 90.00, 90.00, 90.00 degrees
Sites, in units of the cell vectors:
Rb 0.0000 0.5000 0.0000
Rb 0.5000 0.0000 0.0000
Mn 0.0000 0.0000 0.5000
F 0.0000 0.0000 0.0000
F 0.2177 0.2177 0.5000
F 0.2177 0.7823 0.5000
F 0.7823 0.2177 0.5000
F 0.7823 0.7823 0.5000

What did the fifth record say?
This entry pairs a crystal structure of Rb3Mn4F12 with its calculated X-ray diffraction stick pattern. Radiation: a wavelength of 1.5418 Å. Structure: DFT lattice parameters and positions (PBE+U).

The 8 most intense peaks (2θ = 10–80°), low angle first:
2θ (°)	I/Imax
14.86	28
25.88	12
29.97	100
36.92	17
42.90	56
53.21	39
62.28	32
70.64	17

Atomic structure:
Cell lengths 7.3034, 7.3034, 7.3034 Å; angles 109.47, 109.47, 109.47 degrees
Sites, in units of the cell vectors:
Rb 0.0000 0.5000 0.5000
Rb 0.5000 0.0000 0.5000
Rb 0.5000 0.5000 0.0000
Mn 0.0000 0.0000 0.5000
Mn 0.0000 0.5000 0.0000
Mn 0.5000 0.0000 0.0000
Mn 0.5000 0.5000 0.5000
F 0.0000 0.2551 0.7449
F 0.0000 0.7449 0.2551
F 0.2551 0.0000 0.7449
F 0.2551 0.2551 0.5102
F 0.2551 0.5102 0.2551
F 0.2551 0.7449 0.0000
F 0.4898 0.7449 0.7449
F 0.5102 0.2551 0.2551
F 0.7449 0.0000 0.2551
F 0.7449 0.2551 0.0000
F 0.7449 0.4898 0.7449
F 0.7449 0.7449 0.4898

Repeat the first record exactly.
This entry pairs a crystal structure of Pm2MnF11 with its calculated X-ray diffraction stick pattern. Radiation: a wavelength of 1.5418 Å. Structure: DFT lattice parameters and positions (PBE+U).

The 8 most intense peaks (2θ = 10–80°), low angle first:
2θ (°)	I/Imax
16.89	46
21.63	48
23.88	100
24.35	80
34.12	40
44.89	26
45.29	31
49.09	34

Atomic structure:
Cell lengths 8.4996, 8.4996, 8.4996 Å; angles 118.73, 106.40, 103.71 degrees
Sites, in units of the cell vectors:
Pm 0.1947 0.1051 0.2998
Pm 0.3053 0.6051 0.9105
Pm 0.6947 0.3949 0.0895
Pm 0.8053 0.8949 0.7002
Mn 0.2500 0.7500 0.5000
Mn 0.7500 0.2500 0.5000
F 0.0000 0.0000 0.0000
F 0.0009 0.5878 0.3267
F 0.1057 0.9656 0.6924
F 0.2225 0.8419 0.0644
F 0.2268 0.5344 0.1401
F 0.2389 0.9122 0.4131
F 0.2611 0.6742 0.6733
F 0.2732 0.4133 0.3076
F 0.2775 0.3419 0.6193
F 0.3943 0.0867 0.8599
F 0.4991 0.8258 0.5869
F 0.5000 0.5000 0.0000
F 0.5009 0.1742 0.4131
F 0.6057 0.9133 0.1401
F 0.7225 0.6581 0.3807
F 0.7268 0.5867 0.6924
F 0.7389 0.3258 0.3267
F 0.7611 0.0878 0.5869
F 0.7732 0.4656 0.8599
F 0.7775 0.1581 0.9356
F 0.8943 0.0344 0.3076
F 0.9991 0.4122 0.6733